# 1
This entry pairs a crystal structure of CsCuPtS2 with its computed X-ray powder pattern. Radiation: Cu Kα. Structure: a cell relaxed with GGA-PBE.

Atomic structure:
Cell: 4.1160 7.3296 7.5000 Å, 90.00 90.00 90.00°
Space group Pccm (No. 49)
Symmetry-distinct sites (fractional):
Cs: 0.0000 0.0000 0.2500 x2
Cu: 0.0000 0.5000 0.0000 x2
Pt: 0.5000 0.5000 0.2500 x2
S: 0.4965 0.2954 0.0000 x4

Most intense lines, 2θ from 5° to 70°, by angle:
d_spacing, Position (°2θ), I/Imax, index
7.330, 12.1, 49, 0 1 0
3.750, 23.7, 15, 0 0 2
3.665, 24.3, 49, 0 2 0
3.589, 24.8, 62, 1 1 0
2.621, 34.2, 35, 0 2 2
2.593, 34.6, 100, 1 1 2
2.211, 40.8, 16, 1 2 2
2.058, 44.0, 19, 2 0 0
1.875, 48.6, 14, 0 0 4
1.833, 49.7, 60, 1 3 2
1.662, 55.3, 14, 1 1 4
1.619, 56.9, 16, 2 2 2

---

# 2
This entry pairs a crystal structure of ZrTl2Br5F with its computed X-ray powder pattern. Radiation: Cu Kα. Structure: a cell relaxed with GGA-PBE.

Atomic structure:
Cell: 7.6957 7.6957 10.6412 Å, 90.00 90.00 90.00°
Space group I4mm (No. 107)
Symmetry-distinct sites (fractional):
Zr: 0.0000 0.0000 0.0000 x2
Tl: 0.0000 0.5000 0.1983 x4
Br: 0.0000 0.0000 0.2504 x2
Br: 0.2454 0.2454 0.0058 x8
F: 0.0000 0.0000 0.8150 x2

Most intense lines, 2θ from 5° to 70°, by angle:
d_spacing, Position (°2θ), I/Imax, index
6.236, 14.2, 19, 1 0 1
5.442, 16.3, 16, 1 1 0
3.804, 23.4, 59, 1 1 2
3.118, 28.6, 100, 2 0 2
2.721, 32.9, 64, 2 2 0
2.660, 33.7, 17, 0 0 4
2.390, 37.6, 18, 1 1 4
2.213, 40.8, 28, 3 1 2
1.924, 47.2, 23, 4 0 0
1.902, 47.8, 25, 2 2 4
1.796, 50.9, 15, 3 1 4
1.637, 56.2, 30, 4 2 2